For NpVBiO6, the GGA+U geometry in Alexandria gives the calculated powder diffractogram in this record (Cu Kα (weighted mean of Kα1 and Kα2)).

Most intense lines, 5° ≤ 2θ ≤ 70°, in order of falling intensity:
d_spacing  2theta  I_rel  hkl
3.426  26.0  100  1 0 2
2.707  33.1  43  1 1 0
1.840  49.5  41  1 1 4
4.248  20.9  31  1 0 1
2.124  42.6  27  2 0 2
1.671  55.0  26  2 1 2
1.563  59.1  14  3 0 0
2.724  32.9  11  1 0 3
1.576  58.6  11  1 0 6
2.510  35.8  9  0 0 4

Crystal structure
```
NpVBiO6
1.0
5.413 0.000 0.000
-2.707 4.688 0.000
0.000 0.000 10.041
Np V Bi O
2 2 2 12
Direct
0.333 0.667 0.250
0.667 0.333 0.750
0.333 0.667 0.750
0.667 0.333 0.250
0.000 0.000 0.000
0.000 0.000 0.500
0.010 0.363 0.641
0.010 0.647 0.859
0.353 0.363 0.859
0.353 0.990 0.641
0.363 0.010 0.141
0.363 0.353 0.359
0.637 0.647 0.641
0.637 0.990 0.859
0.647 0.010 0.359
0.647 0.637 0.141
0.990 0.353 0.141
0.990 0.637 0.359
```